# OsRu4Rh6
Theoretical XRD peak list, copper Kα. Input: DFT lattice parameters and positions (PBE).
Peak positions follow from Bragg's law for the DFT cell and can differ from measured ones.

Most intense lines, 2θ = 5–70°, in order of rising 2θ:
two_theta, I/Imax
9.4, 4
25.6, 1
28.0, 1
40.8, 100
40.8, 33
47.2, 22
47.6, 43
69.2, 14
69.2, 7
69.4, 7
69.5, 7
69.6, 7

Crystal structure
Unit cell a=3.8209 b=4.7010 c=18.9634 alpha=85.57 beta=84.25 gamma=66.16
Sites, in units of the cell vectors:
Os 0.0853 0.0570 0.2722
Os 0.9147 0.9430 0.7278
Ru 0.0422 0.2765 0.1372
Ru 0.1829 0.5888 0.5442
Ru 0.3643 0.6812 0.0910
Ru 0.4558 0.2253 0.3623
Ru 0.5442 0.7747 0.6377
Ru 0.6357 0.3188 0.9090
Ru 0.8171 0.4112 0.4558
Ru 0.9578 0.7235 0.8628
Rh 0.0000 0.5000 0.0000
Rh 0.1345 0.8215 0.4091
Rh 0.2303 0.3602 0.6798
Rh 0.2747 0.1307 0.8193
Rh 0.3214 0.9028 0.9538
Rh 0.4088 0.4547 0.2285
Rh 0.5000 0.0000 0.5000
Rh 0.5912 0.5453 0.7715
Rh 0.6786 0.0972 0.0462
Rh 0.7253 0.8693 0.1807
Rh 0.7697 0.6398 0.3202
Rh 0.8655 0.1785 0.5909

=====

# Ba4ErRu3O12
Theoretical XRD peak list, copper Kα. Input: DFT lattice parameters and positions (PBE).
Peak positions follow from Bragg's law for the DFT cell and can differ from measured ones.

Most intense lines, 2θ = 5–70°, in order of rising 2θ:
two_theta, I/Imax
27.4, 61
29.9, 17
30.1, 100
35.2, 18
41.2, 36
46.7, 13
47.0, 12
51.9, 20
53.5, 20
56.6, 10
62.6, 19
65.5, 10

Crystal structure
Unit cell a=10.3844 b=10.3844 c=10.3844 alpha=33.19 beta=33.19 gamma=33.19
Sites, in units of the cell vectors:
Ba 0.1288 0.1288 0.1288
Ba 0.2860 0.2860 0.2860
Ba 0.7140 0.7140 0.7140
Ba 0.8712 0.8712 0.8712
Er 0.0000 0.0000 0.0000
Ru 0.4131 0.4131 0.4131
Ru 0.5000 0.5000 0.5000
Ru 0.5869 0.5869 0.5869
O 0.1471 0.6127 0.6127
O 0.2179 0.2179 0.6935
O 0.2179 0.6935 0.2179
O 0.3065 0.7821 0.7821
O 0.3873 0.3873 0.8529
O 0.3873 0.8529 0.3873
O 0.6127 0.1471 0.6127
O 0.6127 0.6127 0.1471
O 0.6935 0.2179 0.2179
O 0.7821 0.3065 0.7821
O 0.7821 0.7821 0.3065
O 0.8529 0.3873 0.3873

=====

# Ca3Cd2N
Theoretical XRD peak list, copper Kα. Input: DFT lattice parameters and positions (PBE).
Peak positions follow from Bragg's law for the DFT cell and can differ from measured ones.

Most intense lines, 2θ = 5–70°, in order of rising 2θ:
two_theta, I/Imax
13.7, 18
23.8, 100
27.6, 37
30.6, 40
30.8, 53
36.5, 84
36.8, 23
41.9, 18
43.7, 24
48.8, 32
50.7, 36
56.5, 31

Crystal structure
Unit cell a=7.4669 b=7.4669 c=6.5553 alpha=90.00 beta=90.00 gamma=120.00
Sites, in units of the cell vectors:
Ca 0.1388 0.2777 0.2500
Ca 0.1388 0.8612 0.2500
Ca 0.2777 0.1388 0.7500
Ca 0.7223 0.8612 0.2500
Ca 0.8612 0.1388 0.7500
Ca 0.8612 0.7223 0.7500
Cd 0.3333 0.6667 0.5435
Cd 0.3333 0.6667 0.9565
Cd 0.6667 0.3333 0.0435
Cd 0.6667 0.3333 0.4565
N 0.0000 0.0000 0.0000
N 0.0000 0.0000 0.5000